Diffraction record for Hf4Fe2Ge5. The powder X-ray diffraction pattern is simulated, not measured: it uses a crystal structure in Alexandria, relaxed with GGA-PBE and a wavelength of 1.5418 Å.
Kinematic intensities with the Lorentz-polarization factor, no thermal factor.

Most intense lines, 2θ from 15° to 90°, low angle first:
2θ (°)	d/Å	Rel. int.
29.10	3.069	24
33.91	2.643	37
36.40	2.468	16
37.71	2.385	52
38.44	2.342	100
38.65	2.330	12
38.75	2.324	24
39.18	2.299	35
40.56	2.224	18
63.20	1.471	11
63.71	1.461	23
79.11	1.211	12

abc: 9.788 9.788 9.788
angles: 130.27 59.96 148.66
Fractional coordinates of all 22 atoms:
Hf 0.061 0.727 0.788
Hf 0.145 0.102 0.247
Hf 0.355 0.602 0.957
Hf 0.439 0.227 0.666
Hf 0.561 0.773 0.334
Hf 0.645 0.398 0.043
Hf 0.855 0.898 0.753
Hf 0.939 0.273 0.212
Fe 0.051 0.750 0.301
Fe 0.449 0.750 0.699
Fe 0.551 0.250 0.301
Fe 0.949 0.250 0.699
Ge 0.084 0.402 0.486
Ge 0.217 0.797 0.013
Ge 0.250 0.250 0.000
Ge 0.283 0.297 0.580
Ge 0.416 0.902 0.318
Ge 0.584 0.098 0.682
Ge 0.717 0.703 0.420
Ge 0.750 0.750 0.000
Ge 0.783 0.203 0.987
Ge 0.916 0.598 0.514